# CeSi2Ni4
Computed powder XRD pattern, Cu Kα X-rays. Input: a GGA-PBE-relaxed structure.

Cell and atoms:
abc: 7.252 7.252 3.686
angles: 90.00 90.00 90.00
Sites, in units of the cell vectors:
Ce (0.000, 0.000, 0.000)
Ce (0.500, 0.500, 0.500)
Si (0.220, 0.220, 0.500)
Si (0.280, 0.720, 0.000)
Si (0.720, 0.280, 0.000)
Si (0.780, 0.780, 0.500)
Ni (0.088, 0.658, 0.500)
Ni (0.158, 0.412, 0.000)
Ni (0.342, 0.912, 0.500)
Ni (0.412, 0.158, 0.000)
Ni (0.588, 0.842, 0.000)
Ni (0.658, 0.088, 0.500)
Ni (0.842, 0.588, 0.000)
Ni (0.912, 0.342, 0.500)

Top 10 peaks for 5° ≤ 2θ ≤ 70°, by intensity:
- 36.9°, intensity 100.0
- 39.3°, intensity 51.1
- 43.0°, intensity 30.7
- 46.6°, intensity 27.5
- 69.7°, intensity 24.0
- 64.9°, intensity 22.1
- 49.5°, intensity 21.6
- 27.1°, intensity 17.2
- 58.1°, intensity 14.0
- 24.6°, intensity 11.6

# In
Computed powder XRD pattern, Cu Kα X-rays. Input: a GGA-PBE-relaxed structure.

Cell and atoms:
abc: 7.387 7.387 7.387
angles: 130.66 130.66 72.35
Sites, in units of the cell vectors:
In (0.056, 0.806, 0.612)
In (0.194, 0.306, 0.250)
In (0.306, 0.556, 0.112)
In (0.444, 0.056, 0.750)
In (0.556, 0.944, 0.250)
In (0.694, 0.444, 0.888)
In (0.806, 0.694, 0.750)
In (0.944, 0.194, 0.388)

Top 10 peaks for 5° ≤ 2θ ≤ 70°, by intensity:
- 33.4°, intensity 100.0
- 30.0°, intensity 69.2
- 29.0°, intensity 63.2
- 39.8°, intensity 61.2
- 42.2°, intensity 45.0
- 50.6°, intensity 29.9
- 62.6°, intensity 25.7
- 66.2°, intensity 23.4
- 49.2°, intensity 22.4
- 66.8°, intensity 21.0

# ThCd6Ag2
Computed powder XRD pattern, Cu Kα X-rays. Input: a GGA-PBE-relaxed structure.

Cell and atoms:
abc: 6.950 6.950 4.807
angles: 108.55 108.55 87.13
Sites, in units of the cell vectors:
Th (0.000, 0.000, 0.000)
Cd (0.155, 0.481, 0.823)
Cd (0.233, 0.767, 0.500)
Cd (0.481, 0.155, 0.823)
Cd (0.519, 0.845, 0.177)
Cd (0.767, 0.233, 0.500)
Cd (0.845, 0.519, 0.177)
Ag (0.338, 0.338, 0.342)
Ag (0.662, 0.662, 0.658)

Top 10 peaks for 5° ≤ 2θ ≤ 70°, by intensity:
- 33.7°, intensity 100.0
- 31.1°, intensity 63.5
- 39.4°, intensity 51.6
- 37.5°, intensity 50.3
- 40.6°, intensity 46.9
- 48.4°, intensity 18.4
- 50.5°, intensity 15.8
- 65.2°, intensity 14.0
- 42.7°, intensity 13.8
- 56.9°, intensity 13.2

# Mg6Si5
Computed powder XRD pattern, Cu Kα X-rays. Input: a GGA-PBE-relaxed structure.

Cell and atoms:
abc: 5.421 6.294 13.233
angles: 84.23 79.14 89.81
Sites, in units of the cell vectors:
Mg (0.000, 0.000, 0.000)
Mg (0.000, 0.491, 0.583)
Mg (0.297, 0.479, 0.108)
Mg (0.408, 0.957, 0.142)
Mg (0.457, 0.741, 0.669)
Mg (0.484, 0.911, 0.421)
Mg (0.551, 0.801, 0.902)
Mg (0.600, 0.413, 0.443)
Mg (0.814, 0.204, 0.780)
Mg (0.835, 0.472, 0.016)
Mg (0.842, 0.701, 0.219)
Mg (0.849, 0.190, 0.229)
Si (0.103, 0.717, 0.856)
Si (0.193, 0.064, 0.592)
Si (0.234, 0.352, 0.837)
Si (0.318, 0.246, 0.298)
Si (0.320, 0.628, 0.298)
Si (0.442, 0.311, 0.659)
Si (0.485, 0.213, 0.961)
Si (0.914, 0.811, 0.710)
Si (0.957, 0.746, 0.412)
Si (0.987, 0.118, 0.441)

Top 10 peaks for 5° ≤ 2θ ≤ 70°, by intensity:
- 39.6°, intensity 100.0
- 35.1°, intensity 79.8
- 39.0°, intensity 77.4
- 36.1°, intensity 72.5
- 36.0°, intensity 65.1
- 33.9°, intensity 63.2
- 33.0°, intensity 62.1
- 30.4°, intensity 53.1
- 35.7°, intensity 48.9
- 33.7°, intensity 46.8

# Li7CdRh3
Computed powder XRD pattern, Cu Kα X-rays. Input: a GGA-PBE-relaxed structure.

Cell and atoms:
abc: 13.267 13.267 9.643
angles: 90.38 90.38 168.29
Sites, in units of the cell vectors:
Li (0.048, 0.729, 0.886)
Li (0.079, 0.921, 0.750)
Li (0.194, 0.519, 0.630)
Li (0.223, 0.227, 0.618)
Li (0.227, 0.223, 0.118)
Li (0.271, 0.952, 0.614)
Li (0.481, 0.806, 0.870)
Li (0.519, 0.194, 0.130)
Li (0.729, 0.048, 0.386)
Li (0.773, 0.777, 0.882)
Li (0.777, 0.773, 0.382)
Li (0.806, 0.481, 0.370)
Li (0.921, 0.079, 0.250)
Li (0.952, 0.271, 0.114)
Cd (0.253, 0.747, 0.250)
Cd (0.747, 0.253, 0.750)
Rh (0.084, 0.916, 0.250)
Rh (0.405, 0.570, 0.502)
Rh (0.430, 0.595, 0.998)
Rh (0.570, 0.405, 0.002)
Rh (0.595, 0.430, 0.498)
Rh (0.916, 0.084, 0.750)

Top 10 peaks for 5° ≤ 2θ ≤ 70°, by intensity:
- 20.2°, intensity 100.0
- 41.0°, intensity 37.7
- 42.8°, intensity 36.4
- 19.6°, intensity 36.3
- 11.4°, intensity 32.7
- 22.9°, intensity 23.1
- 37.4°, intensity 21.9
- 6.7°, intensity 18.6
- 16.3°, intensity 18.5
- 39.4°, intensity 18.4

# Ba2Ga2Si
Computed powder XRD pattern, Cu Kα X-rays. Input: a GGA-PBE-relaxed structure.

Cell and atoms:
abc: 6.798 6.798 7.964
angles: 101.22 101.22 56.59
Sites, in units of the cell vectors:
Ba (0.042, 0.258, 0.158)
Ba (0.258, 0.042, 0.658)
Ba (0.742, 0.958, 0.342)
Ba (0.958, 0.742, 0.842)
Ga (0.283, 0.505, 0.504)
Ga (0.495, 0.717, 0.996)
Ga (0.505, 0.283, 0.004)
Ga (0.717, 0.495, 0.496)
Si (0.377, 0.623, 0.250)
Si (0.623, 0.377, 0.750)

Top 10 peaks for 5° ≤ 2θ ≤ 70°, by intensity:
- 32.6°, intensity 100.0
- 29.3°, intensity 99.1
- 30.0°, intensity 73.6
- 24.6°, intensity 71.4
- 30.6°, intensity 58.8
- 31.2°, intensity 51.5
- 26.8°, intensity 48.9
- 35.0°, intensity 46.4
- 31.9°, intensity 46.2
- 36.6°, intensity 39.6